Entry 1:
For LaNd6S8, a crystal structure in Alexandria, relaxed with GGA-PBE gives the calculated powder diffraction line list in this record (Cu Kα (λ = 1.5418 Å)).
No peak broadening, texture or thermal motion is included.

Atomic structure:
```
data_LaNd6S8
_chemical_formula_sum 'La1 Nd6 S8'
_space_group_name_H-M_alt 'P 1'
_space_group_IT_number 1
_cell_length_a 8.142
_cell_length_b 8.142
_cell_length_c 8.142
_cell_angle_alpha 60.00
_cell_angle_beta 60.00
_cell_angle_gamma 60.00
loop_
_space_group_symop_operation_xyz
'x,y,z'
loop_
_atom_site_label
_atom_site_fract_x
_atom_site_fract_y
_atom_site_fract_z
La1 0.000 0.000 0.000
Nd1 0.000 0.000 0.500
Nd2 0.000 0.500 0.000
Nd3 0.000 0.500 0.500
Nd4 0.500 0.000 0.000
Nd5 0.500 0.000 0.500
Nd6 0.500 0.500 0.000
S1 0.250 0.250 0.250
S2 0.252 0.252 0.748
S3 0.252 0.748 0.252
S4 0.252 0.748 0.748
S5 0.748 0.252 0.252
S6 0.748 0.252 0.748
S7 0.748 0.748 0.252
S8 0.750 0.750 0.750
```

Principal peaks in the range 15 to 90 degrees two-theta, most intense first:
- d 2.879, 2θ = 31.07°, intensity 100
- d 2.036, 2θ = 44.51°, intensity 72
- d 3.324, 2θ = 26.82°, intensity 63
- d 1.736, 2θ = 52.73°, intensity 32
- d 1.287, 2θ = 73.57°, intensity 32
- d 1.662, 2θ = 55.27°, intensity 25
- d 1.175, 2θ = 81.99°, intensity 24
- d 1.321, 2θ = 71.42°, intensity 13
- d 1.439, 2θ = 64.77°, intensity 12
- d 1.108, 2θ = 88.18°, intensity 10
- d 5.757, 2θ = 15.39°, intensity 8
- d 3.472, 2θ = 25.66°, intensity 8


Entry 2:
For La4Nd3S8, a crystal structure in Alexandria, relaxed with GGA-PBE gives the calculated powder diffraction line list in this record (Cu Kα (λ = 1.5418 Å)).
No peak broadening, texture or thermal motion is included.

Atomic structure:
```
data_La4Nd3S8
_chemical_formula_sum 'La4 Nd3 S8'
_space_group_name_H-M_alt 'P 1'
_space_group_IT_number 1
_cell_length_a 8.228
_cell_length_b 8.228
_cell_length_c 8.195
_cell_angle_alpha 119.87
_cell_angle_beta 119.87
_cell_angle_gamma 90.00
loop_
_space_group_symop_operation_xyz
'x,y,z'
loop_
_atom_site_label
_atom_site_fract_x
_atom_site_fract_y
_atom_site_fract_z
La1 0.000 0.000 0.000
La2 0.000 0.500 0.000
La3 0.500 0.000 0.000
La4 0.500 0.500 0.500
Nd1 0.000 0.500 0.500
Nd2 0.500 0.000 0.500
Nd3 0.500 0.500 0.000
S1 0.250 0.750 0.500
S2 0.251 0.251 0.503
S3 0.251 0.749 0.000
S4 0.253 0.253 0.002
S5 0.747 0.747 0.998
S6 0.749 0.251 0.000
S7 0.749 0.749 0.497
S8 0.750 0.250 0.500
```

Principal peaks in the range 15 to 90 degrees two-theta, most intense first:
- d 2.909, 2θ = 30.73°, intensity 100
- d 2.057, 2θ = 44.02°, intensity 48
- d 3.368, 2θ = 26.46°, intensity 31
- d 3.350, 2θ = 26.61°, intensity 31
- d 1.301, 2θ = 72.68°, intensity 21
- d 1.757, 2θ = 52.04°, intensity 16
- d 1.751, 2θ = 52.23°, intensity 16
- d 1.684, 2θ = 54.49°, intensity 13
- d 1.675, 2θ = 54.80°, intensity 12
- d 2.065, 2θ = 43.83°, intensity 12
- d 2.049, 2θ = 44.21°, intensity 12
- d 1.455, 2θ = 64.01°, intensity 12


Entry 3:
For LaNdSbS, a crystal structure in Alexandria, relaxed with GGA-PBE gives the calculated powder diffraction line list in this record (Cu Kα (λ = 1.5418 Å)).
No peak broadening, texture or thermal motion is included.

Atomic structure:
```
data_LaNdSbS
_chemical_formula_sum 'La2 Nd2 Sb2 S2'
_space_group_name_H-M_alt 'P 1'
_space_group_IT_number 1
_cell_length_a 11.616
_cell_length_b 11.616
_cell_length_c 11.616
_cell_angle_alpha 25.44
_cell_angle_beta 25.44
_cell_angle_gamma 25.44
loop_
_space_group_symop_operation_xyz
'x,y,z'
loop_
_atom_site_label
_atom_site_fract_x
_atom_site_fract_y
_atom_site_fract_z
La1 0.206 0.206 0.206
La2 0.794 0.794 0.794
Nd1 0.377 0.377 0.377
Nd2 0.623 0.623 0.623
Sb1 0.101 0.101 0.101
Sb2 0.899 0.899 0.899
S1 0.296 0.296 0.296
S2 0.704 0.704 0.704
```

Principal peaks in the range 15 to 90 degrees two-theta, most intense first:
- d 2.557, 2θ = 35.09°, intensity 100
- d 2.682, 2θ = 33.41°, intensity 55
- d 3.260, 2θ = 27.36°, intensity 48
- d 3.921, 2θ = 22.68°, intensity 47
- d 1.891, 2θ = 48.12°, intensity 34
- d 1.477, 2θ = 62.94°, intensity 24
- d 4.284, 2θ = 20.73°, intensity 23
- d 1.279, 2θ = 74.14°, intensity 19
- d 2.809, 2θ = 31.86°, intensity 18
- d 1.851, 2θ = 49.23°, intensity 18
- d 1.499, 2θ = 61.88°, intensity 18
- d 2.520, 2θ = 35.63°, intensity 14


Entry 4:
For La2Nd2Se2S3, a crystal structure in Alexandria, relaxed with GGA-PBE gives the calculated powder diffraction line list in this record (Cu Kα (λ = 1.5418 Å)).
No peak broadening, texture or thermal motion is included.

Atomic structure:
```
data_La2Nd2Se2S3
_chemical_formula_sum 'La2 Nd2 Se2 S3'
_space_group_name_H-M_alt 'P 1'
_space_group_IT_number 1
_cell_length_a 8.593
_cell_length_b 8.593
_cell_length_c 8.593
_cell_angle_alpha 142.09
_cell_angle_beta 142.09
_cell_angle_gamma 54.70
loop_
_space_group_symop_operation_xyz
'x,y,z'
loop_
_atom_site_label
_atom_site_fract_x
_atom_site_fract_y
_atom_site_fract_z
La1 0.204 0.204 0.000
La2 0.796 0.796 0.000
Nd1 0.000 0.500 0.500
Nd2 0.500 0.000 0.500
Se1 0.399 0.399 0.000
Se2 0.601 0.601 0.000
S1 0.000 0.000 0.000
S2 0.250 0.750 0.500
S3 0.750 0.250 0.500
```

Principal peaks in the range 15 to 90 degrees two-theta, most intense first:
- d 2.791, 2θ = 32.07°, intensity 100
- d 3.506, 2θ = 25.40°, intensity 72
- d 2.679, 2θ = 33.45°, intensity 57
- d 1.933, 2θ = 47.02°, intensity 43
- d 1.974, 2θ = 45.98°, intensity 36
- d 1.719, 2θ = 53.29°, intensity 34
- d 2.744, 2θ = 32.64°, intensity 34
- d 3.816, 2θ = 23.31°, intensity 23
- d 2.253, 2θ = 40.02°, intensity 21
- d 1.248, 2θ = 76.28°, intensity 16
- d 1.296, 2θ = 73.00°, intensity 15
- d 1.381, 2θ = 67.87°, intensity 14


Repeat the first record exactly.
For LaNd6S8, a crystal structure in Alexandria, relaxed with GGA-PBE gives the calculated powder diffraction line list in this record (Cu Kα (λ = 1.5418 Å)).
No peak broadening, texture or thermal motion is included.

Atomic structure:
```
data_LaNd6S8
_chemical_formula_sum 'La1 Nd6 S8'
_space_group_name_H-M_alt 'P 1'
_space_group_IT_number 1
_cell_length_a 8.142
_cell_length_b 8.142
_cell_length_c 8.142
_cell_angle_alpha 60.00
_cell_angle_beta 60.00
_cell_angle_gamma 60.00
loop_
_space_group_symop_operation_xyz
'x,y,z'
loop_
_atom_site_label
_atom_site_fract_x
_atom_site_fract_y
_atom_site_fract_z
La1 0.000 0.000 0.000
Nd1 0.000 0.000 0.500
Nd2 0.000 0.500 0.000
Nd3 0.000 0.500 0.500
Nd4 0.500 0.000 0.000
Nd5 0.500 0.000 0.500
Nd6 0.500 0.500 0.000
S1 0.250 0.250 0.250
S2 0.252 0.252 0.748
S3 0.252 0.748 0.252
S4 0.252 0.748 0.748
S5 0.748 0.252 0.252
S6 0.748 0.252 0.748
S7 0.748 0.748 0.252
S8 0.750 0.750 0.750
```

Principal peaks in the range 15 to 90 degrees two-theta, most intense first:
- d 2.879, 2θ = 31.07°, intensity 100
- d 2.036, 2θ = 44.51°, intensity 72
- d 3.324, 2θ = 26.82°, intensity 63
- d 1.736, 2θ = 52.73°, intensity 32
- d 1.287, 2θ = 73.57°, intensity 32
- d 1.662, 2θ = 55.27°, intensity 25
- d 1.175, 2θ = 81.99°, intensity 24
- d 1.321, 2θ = 71.42°, intensity 13
- d 1.439, 2θ = 64.77°, intensity 12
- d 1.108, 2θ = 88.18°, intensity 10
- d 5.757, 2θ = 15.39°, intensity 8
- d 3.472, 2θ = 25.66°, intensity 8